Fe3NiB2: simulated powder diffractogram (Cu Kα, 1.54184 Å), based on a structure optimized by DFT (GGA-PBE).
Peak positions follow from Bragg's law for the DFT cell and can differ from measured ones.

Cell and atoms:
Lattice parameters (Å, degrees): 4.2307 7.1241 7.1759 90.00 90.00 90.00
Space group Fmm2 (No. 42)
One atom of each set of equivalent atoms:
Fe  0.0000  0.0000  0.0000 [4 per cell]
Fe  0.0000  0.1649  0.6672 [8 per cell]
Ni  0.0000  0.0000  0.3344 [4 per cell]
B  0.2500  0.2500  0.4171 [8 per cell]

Principal peaks in the range 15 to 90 degrees two-theta, in order of falling intensity:
- 45.4°, I 100.0
- 45.6°, I 93.5
- 42.7°, I 45.7
- 35.5°, I 32.8
- 56.7°, I 25.5
- 80.3°, I 21.4

=====

Fe6BP2: simulated powder diffractogram (Cu Kα, 1.54184 Å), based on a structure optimized by DFT (GGA-PBE).
Peak positions follow from Bragg's law for the DFT cell and can differ from measured ones.

Cell and atoms:
Lattice parameters (Å, degrees): 5.9618 5.9618 3.0651 90.00 90.00 120.00
Space group P-62m (No. 189)
One atom of each set of equivalent atoms:
Fe  0.0000  0.2490  0.0000 [3 per cell]
Fe  0.0000  0.6103  0.5000 [3 per cell]
B  0.0000  0.0000  0.5000 [1 per cell]
P  0.3333  0.6667  0.0000 [2 per cell]

Principal peaks in the range 15 to 90 degrees two-theta, in order of falling intensity:
- 42.3°, I 100.0
- 46.5°, I 48.0
- 46.0°, I 35.4
- 53.2°, I 20.4
- 79.5°, I 17.3
- 88.5°, I 14.4

=====

Sm3Fe2B2P3: simulated powder diffractogram (Cu Kα, 1.54184 Å), based on a structure optimized by DFT (GGA-PBE).
Peak positions follow from Bragg's law for the DFT cell and can differ from measured ones.

Cell and atoms:
Lattice parameters (Å, degrees): 3.9766 3.9766 21.7560 90.00 90.00 90.00
Space group I4/mmm (No. 139)
One atom of each set of equivalent atoms:
Sm  0.0000  0.0000  0.0000 [2 per cell]
Sm  0.0000  0.0000  0.3650 [4 per cell]
Fe  0.0000  0.5000  0.2500 [4 per cell]
B  0.0000  0.0000  0.2209 [4 per cell]
P  0.0000  0.0000  0.1293 [4 per cell]
P  0.0000  0.0000  0.5000 [2 per cell]

Principal peaks in the range 15 to 90 degrees two-theta, in order of falling intensity:
- 25.5°, I 100.0
- 32.9°, I 87.2
- 31.8°, I 58.9
- 40.6°, I 52.6
- 45.6°, I 50.1
- 57.4°, I 42.5

=====

ZrFeBPd: simulated powder diffractogram (Cu Kα, 1.54184 Å), based on a structure optimized by DFT (GGA-PBE).
Peak positions follow from Bragg's law for the DFT cell and can differ from measured ones.

Cell and atoms:
Lattice parameters (Å, degrees): 6.0070 6.0070 6.0070 90.00 90.00 90.00
Space group F-43m (No. 216)
One atom of each set of equivalent atoms:
Zr  0.0000  0.0000  0.0000 [4 per cell]
Fe  0.2500  0.2500  0.7500 [4 per cell]
B  0.0000  0.0000  0.5000 [4 per cell]
Pd  0.2500  0.2500  0.2500 [4 per cell]

Principal peaks in the range 15 to 90 degrees two-theta, in order of falling intensity:
- 42.6°, I 100.0
- 25.7°, I 34.9
- 77.9°, I 31.3
- 50.4°, I 16.9
- 61.8°, I 15.8
- 29.7°, I 8.2

=====

PrFeB: simulated powder diffractogram (Cu Kα, 1.54184 Å), based on a structure optimized by DFT (GGA-PBE).
Peak positions follow from Bragg's law for the DFT cell and can differ from measured ones.

Cell and atoms:
Lattice parameters (Å, degrees): 6.0270 6.0270 6.0270 90.00 90.00 90.00
Space group F-43m (No. 216)
One atom of each set of equivalent atoms:
Pr  0.0000  0.0000  0.0000 [4 per cell]
Fe  0.0000  0.0000  0.5000 [4 per cell]
B  0.2500  0.2500  0.7500 [4 per cell]

Principal peaks in the range 15 to 90 degrees two-theta, in order of falling intensity:
- 29.6°, I 100.0
- 42.4°, I 87.3
- 25.6°, I 35.1
- 69.8°, I 33.2
- 77.6°, I 27.9
- 52.6°, I 26.5

=====

FeBPt: simulated powder diffractogram (Cu Kα, 1.54184 Å), based on a structure optimized by DFT (GGA-PBE).
Peak positions follow from Bragg's law for the DFT cell and can differ from measured ones.

Cell and atoms:
Lattice parameters (Å, degrees): 5.4791 5.4791 5.4791 90.00 90.00 90.00
Space group F-43m (No. 216)
One atom of each set of equivalent atoms:
Fe  0.0000  0.0000  0.0000 [4 per cell]
B  0.0000  0.0000  0.5000 [4 per cell]
Pt  0.2500  0.2500  0.7500 [4 per cell]

Principal peaks in the range 15 to 90 degrees two-theta, in order of falling intensity:
- 28.2°, I 100.0
- 46.9°, I 63.6
- 55.6°, I 46.1
- 87.1°, I 21.6
- 32.7°, I 19.9
- 75.7°, I 18.7

=====

SmFe3BPt: simulated powder diffractogram (Cu Kα, 1.54184 Å), based on a structure optimized by DFT (GGA-PBE).
Peak positions follow from Bragg's law for the DFT cell and can differ from measured ones.

Cell and atoms:
Lattice parameters (Å, degrees): 5.1809 5.1809 7.2551 90.00 90.00 120.00
Space group P6/mmm (No. 191)
One atom of each set of equivalent atoms:
Sm  0.0000  0.0000  0.0000 [1 per cell]
Sm  0.0000  0.0000  0.5000 [1 per cell]
Fe  0.0000  0.5000  0.2007 [6 per cell]
B  0.3333  0.6667  0.0000 [2 per cell]
Pt  0.3333  0.6667  0.5000 [2 per cell]

Principal peaks in the range 15 to 90 degrees two-theta, in order of falling intensity:
- 42.9°, I 100.0
- 34.6°, I 48.3
- 36.8°, I 39.6
- 67.8°, I 25.5
- 62.5°, I 22.9
- 40.2°, I 19.5

=====

Tm2FeB4Pt4: simulated powder diffractogram (Cu Kα, 1.54184 Å), based on a structure optimized by DFT (GGA-PBE).
Peak positions follow from Bragg's law for the DFT cell and can differ from measured ones.

Cell and atoms:
Lattice parameters (Å, degrees): 5.3604 8.8973 12.2275 90.00 90.00 90.00
Space group Fmmm (No. 69)
One atom of each set of equivalent atoms:
Tm  0.0000  0.0000  0.1344 [8 per cell]
Fe  0.0000  0.0000  0.5000 [4 per cell]
B  0.0000  0.1144  0.3628 [16 per cell]
Pt  0.2500  0.2500  0.0000 [8 per cell]
Pt  0.2500  0.2500  0.2500 [8 per cell]

Principal peaks in the range 15 to 90 degrees two-theta, in order of falling intensity:
- 35.6°, I 100.0
- 39.2°, I 97.0
- 45.0°, I 55.1
- 29.3°, I 47.4
- 40.6°, I 41.8
- 62.2°, I 38.8

=====

RbFeB: simulated powder diffractogram (Cu Kα, 1.54184 Å), based on a structure optimized by DFT (GGA-PBE).
Peak positions follow from Bragg's law for the DFT cell and can differ from measured ones.

Cell and atoms:
Lattice parameters (Å, degrees): 6.5508 6.5508 6.5508 90.00 90.00 90.00
Space group F-43m (No. 216)
One atom of each set of equivalent atoms:
Rb  0.0000  0.0000  0.0000 [4 per cell]
Fe  0.0000  0.0000  0.5000 [4 per cell]
B  0.2500  0.2500  0.7500 [4 per cell]

Principal peaks in the range 15 to 90 degrees two-theta, in order of falling intensity:
- 27.2°, I 100.0
- 38.9°, I 94.6
- 63.5°, I 34.4
- 70.4°, I 30.2
- 48.1°, I 27.2
- 89.8°, I 16.7